(1)
The following is a calculated powder diffractogram of Li9Fe5O12. It was derived from a cell relaxed with PBE+U, using a wavelength of 1.5418 Å.

Peak list (6 most intense, 2θ = 10–90°, low angle first)
2θ (°), d [Å], I/Imax
17.61, 5.035, 100
34.84, 2.575, 20
35.93, 2.499, 20
42.44, 2.130, 24
45.18, 2.007, 29
61.40, 1.510, 16

Crystal structure
```
Li9Fe5O12
1.0
2.614 -4.555 0.000
2.614 4.555 0.000
-1.231 0.000 10.070
Li Fe O
9 5 12
Direct
0.000 0.000 0.000
0.195 0.195 0.252
0.205 0.646 0.751
0.256 0.256 0.806
0.354 0.795 0.249
0.646 0.205 0.751
0.744 0.744 0.194
0.795 0.354 0.249
0.805 0.805 0.748
0.164 0.836 0.500
0.331 0.669 0.000
0.500 0.500 0.500
0.669 0.331 0.000
0.836 0.164 0.500
0.025 0.677 0.120
0.141 0.473 0.390
0.191 0.191 0.609
0.323 0.975 0.880
0.399 0.399 0.118
0.473 0.141 0.390
0.527 0.859 0.610
0.601 0.601 0.882
0.677 0.025 0.120
0.809 0.809 0.391
0.859 0.527 0.610
0.975 0.323 0.880
```


(2)
The following is a calculated powder diffractogram of Li5Fe3O8. It was derived from a cell relaxed with PBE+U, using a wavelength of 1.5418 Å.

Peak list (6 most intense, 2θ = 10–90°, low angle first)
2θ (°), d [Å], I/Imax
18.29, 4.852, 100
20.04, 4.431, 21
37.28, 2.412, 24
40.73, 2.215, 19
45.63, 1.988, 18
45.99, 1.973, 38

Crystal structure
```
Li5Fe3O8
1.0
5.728 0.000 0.000
0.000 9.703 0.000
-2.848 0.000 5.042
Li Fe O
10 6 16
Direct
0.162 0.000 0.329
0.171 0.747 0.337
0.179 0.735 0.855
0.317 0.232 0.646
0.324 0.234 0.148
0.676 0.734 0.852
0.683 0.732 0.354
0.821 0.235 0.145
0.829 0.247 0.663
0.838 0.500 0.671
0.162 0.994 0.829
0.337 0.494 0.171
0.338 0.496 0.670
0.662 0.996 0.330
0.663 0.994 0.829
0.838 0.494 0.171
0.008 0.604 0.488
0.014 0.607 0.023
0.155 0.377 0.306
0.189 0.389 0.852
0.332 0.889 0.149
0.339 0.883 0.681
0.479 0.110 0.963
0.484 0.604 0.487
0.516 0.104 0.513
0.521 0.610 0.037
0.661 0.383 0.319
0.668 0.389 0.851
0.811 0.889 0.148
0.845 0.877 0.694
0.986 0.107 0.977
0.992 0.104 0.512
```


(3)
The following is a calculated powder diffractogram of LiFe3O4. It was derived from a cell relaxed with PBE+U, using a wavelength of 1.5418 Å.

Peak list (6 most intense, 2θ = 10–90°, low angle first)
2θ (°), d [Å], I/Imax
17.99, 4.931, 88
36.03, 2.493, 69
36.44, 2.465, 66
41.39, 2.181, 100
41.58, 2.172, 98
43.28, 2.090, 87

Crystal structure
```
LiFe3O4
1.0
4.345 -4.181 0.000
4.345 4.181 0.000
-4.270 0.000 4.363
Li Fe O
2 6 8
Direct
0.000 0.500 0.000
0.500 0.000 0.500
0.000 0.000 0.000
0.000 0.000 0.500
0.000 0.500 0.500
0.500 0.000 0.000
0.500 0.500 0.000
0.500 0.500 0.500
0.222 0.235 0.979
0.235 0.222 0.479
0.239 0.742 0.498
0.258 0.761 0.002
0.742 0.239 0.998
0.761 0.258 0.502
0.765 0.778 0.521
0.778 0.765 0.021
```